No. 1
Diffraction record for Mg3In3Pb. The powder X-ray diffraction pattern is computed, not measured: it uses a structure optimized by DFT (GGA-PBE) and Cu Kα.

Most intense lines, 5° ≤ 2θ ≤ 70°, by angle:
d (Å)  I/Imax
3.550  100
2.568  25
2.509  93
2.461  19
2.079  15
2.021  11
1.777  13
1.771  9
1.588  10
1.585  13
1.471  16
1.430  10

Structure:
```
Mg3In3Pb
1.0
4.9223 -5.1354 0.0000
4.9223 5.1354 0.0000
0.0000 0.0000 7.0858
Mg In Pb
6 6 2
Direct
0.0000 0.0000 0.2335
0.0000 0.0000 0.7665
0.0000 0.5000 0.2450
0.0000 0.5000 0.7550
0.5000 0.0000 0.2450
0.5000 0.0000 0.7550
0.2495 0.7505 0.5000
0.2704 0.7296 0.0000
0.2781 0.2781 0.0000
0.7219 0.7219 0.0000
0.7296 0.2704 0.0000
0.7505 0.2495 0.5000
0.2737 0.2737 0.5000
0.7263 0.7263 0.5000
```

=====

No. 2
Diffraction record for NaAlSi. The powder X-ray diffraction pattern is computed, not measured: it uses a structure optimized by DFT (GGA-PBE) and Cu Kα.

Most intense lines, 5° ≤ 2θ ≤ 70°, by angle:
d (Å)  I/Imax
6.140  47
6.055  17
2.775  100
2.755  12
2.722  33
2.319  14
2.189  17
2.173  15
2.162  45
2.018  12
1.926  14
1.803  19

Structure:
```
NaAlSi
1.0
6.0556 0.0000 0.0000
0.0000 3.6069 0.0000
-0.0880 0.0000 6.1401
Na Al Si
2 2 2
Direct
0.2475 0.2500 0.4229
0.7525 0.7500 0.5771
0.1608 0.7500 0.9297
0.8392 0.2500 0.0703
0.4732 0.2500 0.8626
0.5268 0.7500 0.1374
```

=====

No. 3
Diffraction record for ZnCr2Re. The powder X-ray diffraction pattern is computed, not measured: it uses a structure optimized by DFT (GGA-PBE) and Cu Kα.

Most intense lines, 5° ≤ 2θ ≤ 70°, by angle:
d (Å)  I/Imax
5.248  53
3.757  20
3.055  38
2.399  20
2.191  100
2.151  91
2.022  19
1.880  91
1.682  9
1.479  10
1.367  10
1.348  10

Structure:
```
ZnCr2Re
1.0
2.6968 0.0000 0.0000
0.0000 3.7572 0.0000
0.0000 0.0000 5.2482
Zn Cr Re
1 2 1
Direct
0.0000 0.0000 0.0000
0.0000 0.0000 0.4895
0.5000 0.5000 0.2583
0.5000 0.5000 0.7211
```

=====

No. 4
Diffraction record for TmIrO4. The powder X-ray diffraction pattern is computed, not measured: it uses a structure optimized by DFT (GGA-PBE) and Cu Kα.

Most intense lines, 5° ≤ 2θ ≤ 70°, by angle:
d (Å)  I/Imax
3.747  15
3.628  13
3.057  100
2.992  65
2.907  25
2.643  28
2.495  19
2.429  17
1.788  22
1.766  13
1.623  14
1.504  20

Structure:
```
TmIrO4
1.0
7.5829 0.0000 0.0000
0.0000 5.2867 0.0000
-1.1160 0.0000 7.2569
Tm Ir O
4 4 16
Direct
0.1490 0.2186 0.3872
0.1490 0.2814 0.8872
0.8510 0.7186 0.1128
0.8510 0.7814 0.6128
0.3393 0.7285 0.2000
0.3393 0.7715 0.7000
0.6607 0.2285 0.3000
0.6607 0.2715 0.8000
0.1084 0.5232 0.1757
0.1084 0.9768 0.6757
0.1905 0.0201 0.1177
0.1905 0.4799 0.6177
0.3308 0.6173 0.9444
0.3308 0.8827 0.4444
0.4364 0.0964 0.8103
0.4364 0.4036 0.3103
0.5636 0.5964 0.6897
0.5636 0.9036 0.1897
0.6692 0.1173 0.5556
0.6692 0.3827 0.0556
0.8095 0.5201 0.3823
0.8095 0.9799 0.8823
0.8916 0.0232 0.3243
0.8916 0.4768 0.8243
```

=====

No. 5
Diffraction record for V5SiTc6. The powder X-ray diffraction pattern is computed, not measured: it uses a structure optimized by DFT (GGA-PBE) and Cu Kα.

Most intense lines, 5° ≤ 2θ ≤ 70°, by angle:
d (Å)  I/Imax
3.016  18
2.133  100
1.741  5
1.508  16
1.349  6
1.348  1

Structure:
```
V5SiTc6
1.0
-2.1352 3.0154 6.3916
2.1352 -3.0154 6.3916
2.1352 3.0154 -6.3916
V Si Tc
5 1 6
Direct
0.0000 0.0000 0.0000
0.1677 0.6677 0.5000
0.3365 0.3365 0.0000
0.6635 0.6635 0.0000
0.8323 0.3323 0.5000
0.5000 0.0000 0.5000
0.0825 0.8328 0.2498
0.2481 0.5000 0.7481
0.4170 0.1672 0.2498
0.5830 0.8328 0.7502
0.7519 0.5000 0.2519
0.9175 0.1672 0.7502
```

=====

No. 6
Diffraction record for Na2Cd5Ag2Hg. The powder X-ray diffraction pattern is computed, not measured: it uses a structure optimized by DFT (GGA-PBE) and Cu Kα.

Most intense lines, 5° ≤ 2θ ≤ 70°, by angle:
d (Å)  I/Imax
5.050  27
4.517  32
2.824  23
2.626  100
2.450  18
2.394  43
2.306  29
2.259  15
1.679  11
1.614  10
1.385  14
1.365  13

Structure:
```
Na2Cd5Ag2Hg
1.0
10.1006 0.0000 0.0000
0.0000 10.1006 0.0000
0.0000 0.0000 4.6128
Na Cd Ag Hg
4 10 4 2
Direct
0.1788 0.3212 0.0000
0.3212 0.8212 0.0000
0.6788 0.1788 0.0000
0.8212 0.6788 0.0000
0.0000 0.5000 0.5000
0.0703 0.7963 0.5000
0.2037 0.0703 0.5000
0.2963 0.5703 0.5000
0.4297 0.2963 0.5000
0.5000 0.0000 0.5000
0.5703 0.7037 0.5000
0.7037 0.4297 0.5000
0.7963 0.9297 0.5000
0.9297 0.2037 0.5000
0.1153 0.6153 0.0000
0.3847 0.1153 0.0000
0.6153 0.8847 0.0000
0.8847 0.3847 0.0000
0.0000 0.0000 0.0000
0.5000 0.5000 0.0000
```

=====

No. 7
Diffraction record for AcZrO4. The powder X-ray diffraction pattern is computed, not measured: it uses a structure optimized by DFT (GGA-PBE) and Cu Kα.

Most intense lines, 5° ≤ 2θ ≤ 70°, by angle:
d (Å)  I/Imax
10.788  25
3.919  8
3.317  100
2.974  32
2.867  8
2.733  8
2.697  15
2.103  22
1.998  22
1.776  34
1.659  14
1.653  15

Structure:
```
AcZrO4
1.0
4.2065 0.0000 0.0000
0.0000 4.2065 0.0000
0.0000 0.0000 10.7881
Ac Zr O
2 2 8
Direct
0.2500 0.2500 0.1187
0.7500 0.7500 0.8813
0.2500 0.2500 0.6150
0.7500 0.7500 0.3850
0.2500 0.2500 0.7927
0.2500 0.7500 0.0000
0.2500 0.7500 0.3957
0.2500 0.7500 0.6043
0.7500 0.2500 0.0000
0.7500 0.2500 0.3957
0.7500 0.2500 0.6043
0.7500 0.7500 0.2073
```

=====

No. 8
Diffraction record for NpClF3. The powder X-ray diffraction pattern is computed, not measured: it uses a structure optimized by DFT (GGA-PBE) and Cu Kα.

Most intense lines, 5° ≤ 2θ ≤ 70°, by angle:
d (Å)  I/Imax
6.319  100
5.526  30
4.113  16
3.869  40
3.844  61
3.493  19
2.904  28
2.729  17
2.709  16
2.490  15
2.461  29
2.141  16

Structure:
```
NpClF3
1.0
6.0960 0.0000 0.0000
0.0000 5.4183 0.0000
-2.9439 0.0000 6.3193
Np Cl F
2 2 6
Direct
0.1549 0.2500 0.4123
0.8451 0.7500 0.5877
0.3440 0.7500 0.3708
0.6560 0.2500 0.6292
0.1457 0.2500 0.1196
0.1608 0.0076 0.6882
0.1608 0.4924 0.6882
0.8392 0.5076 0.3118
0.8392 0.9924 0.3118
0.8543 0.7500 0.8804
```